Structure and computed powder diffractogram of CuH4Pd8 (DFT lattice parameters and positions (GGA-PBE); CuKα).

Most intense lines, 15° ≤ 2θ ≤ 90°, low angle first:
| d [Å] | 2θ (°) | I_rel |
| --- | --- | --- |
| 2.339 | 38.5 | 100 |
| 2.333 | 38.6 | 99 |
| 2.309 | 39.0 | 96 |
| 2.307 | 39.0 | 95 |
| 2.018 | 44.9 | 65 |
| 2.011 | 45.1 | 64 |
| 2.003 | 45.3 | 63 |
| 1.422 | 65.7 | 40 |
| 1.210 | 79.2 | 34 |
| 1.207 | 79.4 | 34 |

Crystal structure
abc: 2.8755 7.4831 7.4933
angles: 68.88 78.96 79.16
Fractional positions:
Cu (0.0000, 0.0000, 0.0000)
H (0.1490, 0.5285, 0.1589)
H (0.1502, 0.1671, 0.5014)
H (0.8484, 0.8340, 0.5009)
H (0.8493, 0.4719, 0.8430)
Pd (0.0003, 0.3288, 0.6710)
Pd (0.3314, 0.6664, 0.6664)
Pd (0.3395, 0.3236, 0.0004)
Pd (0.3390, 0.9989, 0.3250)
Pd (0.6594, 0.6763, 0.0006)
Pd (0.6599, 0.0011, 0.6756)
Pd (0.6673, 0.3336, 0.3344)
Pd (0.9983, 0.6714, 0.3299)

Structure and computed powder diffractogram of Cu5PtRh (DFT lattice parameters and positions (GGA-PBE); CuKα).

Most intense lines, 15° ≤ 2θ ≤ 90°, low angle first:
| d [Å] | 2θ (°) | I_rel |
| --- | --- | --- |
| 4.241 | 20.9 | 36 |
| 3.299 | 27.0 | 85 |
| 2.121 | 42.6 | 100 |
| 2.113 | 42.8 | 99 |
| 2.003 | 45.3 | 21 |
| 1.860 | 49.0 | 66 |
| 1.783 | 51.2 | 29 |
| 1.287 | 73.6 | 37 |
| 1.119 | 87.1 | 24 |
| 1.116 | 87.4 | 24 |

Crystal structure
abc: 4.4352 4.4352 5.2478
angles: 90.00 90.00 107.01
Fractional positions:
Cu (0.0000, 0.0000, 0.0000)
Cu (0.0000, 0.5000, 0.2526)
Cu (0.0000, 0.5000, 0.7474)
Cu (0.5000, 0.0000, 0.2526)
Cu (0.5000, 0.0000, 0.7474)
Pt (0.0000, 0.0000, 0.5000)
Rh (0.5000, 0.5000, 0.0000)

Structure and computed powder diffractogram of YMg5 (DFT lattice parameters and positions (GGA-PBE); CuKα).

Most intense lines, 15° ≤ 2θ ≤ 90°, low angle first:
| d [Å] | 2θ (°) | I_rel |
| --- | --- | --- |
| 5.581 | 15.9 | 21 |
| 5.089 | 17.4 | 23 |
| 3.631 | 24.5 | 23 |
| 3.320 | 26.9 | 28 |
| 2.672 | 33.5 | 100 |
| 2.572 | 34.9 | 90 |
| 2.545 | 35.3 | 43 |
| 2.525 | 35.5 | 42 |
| 1.920 | 47.4 | 19 |
| 1.532 | 60.4 | 19 |

Crystal structure
abc: 6.1632 6.1632 6.9264
angles: 106.73 106.73 36.30
Fractional positions:
Y (0.0000, 0.0000, 0.0000)
Mg (0.0000, 0.0000, 0.5000)
Mg (0.3258, 0.3258, 0.1721)
Mg (0.3266, 0.3266, 0.6558)
Mg (0.6734, 0.6734, 0.3442)
Mg (0.6742, 0.6742, 0.8279)